Structure and theoretical PXRD pattern of KZr2Mn2O7 (the PBE+U geometry in Alexandria; CuKα).
Lines closer than 0.1° are merged.

Atomic structure:
a = 9.4816 Å, b = 9.4816 Å, c = 9.4816 Å
α = 154.38°, β = 154.03°, γ = 36.81°
Atoms (fractional coordinates):
K 0.0000 0.0000 0.0000
Zr 0.3865 0.3865 0.0000
Zr 0.6135 0.6135 0.0000
Mn 0.2499 0.7499 0.5000
Mn 0.7501 0.2501 0.5000
O 0.1292 0.6292 0.5000
O 0.2606 0.2606 0.0000
O 0.3689 0.8689 0.5000
O 0.5000 0.5000 0.0000
O 0.6311 0.1311 0.5000
O 0.7394 0.7394 0.0000
O 0.8708 0.3708 0.5000

Top 10 peaks for 10° ≤ 2θ ≤ 90°, low angle first:
| 2theta | I_rel |
| --- | --- |
| 21.43 | 67.5 |
| 21.71 | 66.2 |
| 25.64 | 52.8 |
| 25.88 | 50.6 |
| 31.50 | 100.0 |
| 32.57 | 53.0 |
| 32.76 | 53.6 |
| 40.09 | 76.7 |
| 42.42 | 76.3 |
| 43.03 | 72.9 |